The following is a computed X-ray diffraction stick pattern of SrLuAgTe2S. It was derived from a PBE-relaxed structure, using Cu Kα (weighted mean of Kα1 and Kα2).
No peak broadening, texture or thermal motion is included.

The 10 most intense peaks (2θ from 15° to 90°), low angle first:
d [Å]	Position (°2θ)	I_rel
3.249	27.5	18.6
3.219	27.7	48.0
3.161	28.2	20.4
3.078	29.0	27.1
2.746	32.6	100.0
2.675	33.5	25.7
2.633	34.0	28.1
2.201	41.0	15.4
2.191	41.2	40.9
2.153	42.0	30.0

Crystal structure
Lattice parameters (Å, degrees): 7.5813 7.5813 10.5328 90.00 90.00 147.01
Fractional coordinates of all 12 atoms:
Sr: 0.2293 0.7707 0.7500
Sr: 0.7707 0.2293 0.2500
Lu: 0.5000 0.5000 0.0000
Lu: 0.5000 0.5000 0.5000
Ag: 0.0196 0.9804 0.2500
Ag: 0.9804 0.0196 0.7500
Te: 0.1452 0.8548 0.0520
Te: 0.1452 0.8548 0.4480
Te: 0.8548 0.1452 0.5520
Te: 0.8548 0.1452 0.9480
S: 0.4242 0.5758 0.2500
S: 0.5758 0.4242 0.7500

---

The following is a computed X-ray diffraction stick pattern of KZn2Cd2AsP2. It was derived from a PBE-relaxed structure, using Cu Kα (weighted mean of Kα1 and Kα2).
No peak broadening, texture or thermal motion is included.

The 10 most intense peaks (2θ from 15° to 90°), low angle first:
d [Å]	Position (°2θ)	I_rel
3.362	26.5	19.3
3.247	27.5	72.5
2.598	34.5	100.0
2.501	35.9	19.6
2.252	40.0	18.9
2.079	43.5	69.9
1.664	55.2	19.6
1.623	56.7	22.6
1.599	57.6	27.5
1.280	74.1	19.6

Crystal structure
Lattice parameters (Å, degrees): 12.7352 12.7352 12.7352 18.79 18.79 18.79
Fractional coordinates of all 8 atoms:
K: 0.0000 0.0000 0.0000
Zn: 0.4031 0.4031 0.4031
Zn: 0.5969 0.5969 0.5969
Cd: 0.2018 0.2018 0.2018
Cd: 0.7982 0.7982 0.7982
As: 0.5000 0.5000 0.5000
P: 0.2711 0.2711 0.2711
P: 0.7289 0.7289 0.7289

---

The following is a computed X-ray diffraction stick pattern of Na2ZnAg2SnAu2. It was derived from a PBE-relaxed structure, using Cu Kα (weighted mean of Kα1 and Kα2).
No peak broadening, texture or thermal motion is included.

The 10 most intense peaks (2θ from 15° to 90°), low angle first:
d [Å]	Position (°2θ)	I_rel
3.900	22.8	23.5
3.448	25.8	11.9
3.343	26.7	24.3
2.400	37.5	100.0
2.364	38.1	49.9
1.950	46.6	9.8
1.672	54.9	17.0
1.393	67.2	15.5
1.372	68.4	33.6
1.200	79.9	9.6

Crystal structure
Lattice parameters (Å, degrees): 4.7282 4.7282 6.8958 90.00 90.00 90.00
Fractional coordinates of all 8 atoms:
Na: 0.0000 0.0000 0.0000
Na: 0.5000 0.5000 0.5000
Zn: 0.0000 0.0000 0.5000
Ag: 0.0000 0.5000 0.7304
Ag: 0.5000 0.0000 0.2696
Sn: 0.5000 0.5000 0.0000
Au: 0.0000 0.5000 0.2689
Au: 0.5000 0.0000 0.7311

---

The following is a computed X-ray diffraction stick pattern of Lu4Nb2In3N3. It was derived from a PBE-relaxed structure, using Cu Kα (weighted mean of Kα1 and Kα2).
No peak broadening, texture or thermal motion is included.

The 10 most intense peaks (2θ from 15° to 90°), low angle first:
d [Å]	Position (°2θ)	I_rel
2.917	30.6	11.3
2.903	30.8	21.5
2.507	35.8	49.8
2.498	36.0	100.0
2.450	36.7	29.3
1.875	48.6	15.8
1.682	54.6	20.1
1.425	65.5	15.7
1.392	67.3	14.6
1.386	67.6	18.2

Crystal structure
Lattice parameters (Å, degrees): 5.8067 5.8067 15.0706 100.97 100.97 60.31
Fractional coordinates of all 24 atoms:
Lu: 0.0318 0.1941 0.0872
Lu: 0.1349 0.3045 0.4127
Lu: 0.1941 0.0318 0.5872
Lu: 0.3045 0.1349 0.9127
Lu: 0.6955 0.8651 0.0873
Lu: 0.8059 0.9682 0.4128
Lu: 0.8651 0.6955 0.5873
Lu: 0.9682 0.8059 0.9128
Nb: 0.3604 0.5242 0.0726
Nb: 0.4758 0.6396 0.4274
Nb: 0.5242 0.3604 0.5726
Nb: 0.6396 0.4758 0.9274
In: 0.1144 0.8856 0.2500
In: 0.2825 0.4166 0.7505
In: 0.4166 0.2825 0.2505
In: 0.5834 0.7175 0.7495
In: 0.7175 0.5834 0.2495
In: 0.8856 0.1144 0.7500
N: 0.0000 0.5000 0.0000
N: 0.1634 0.6688 0.5000
N: 0.3312 0.8366 0.0000
N: 0.5000 0.0000 0.5000
N: 0.6688 0.1634 0.0000
N: 0.8366 0.3312 0.5000

---

The following is a computed X-ray diffraction stick pattern of Y2ErAl3AgGe2. It was derived from a PBE-relaxed structure, using Cu Kα (weighted mean of Kα1 and Kα2).
No peak broadening, texture or thermal motion is included.

The 10 most intense peaks (2θ from 15° to 90°), low angle first:
d [Å]	Position (°2θ)	I_rel
4.275	20.8	17.7
3.529	25.2	26.2
3.055	29.2	26.0
2.721	32.9	66.9
2.486	36.1	100.0
2.310	39.0	21.2
2.137	42.3	26.1
2.037	44.5	24.4
2.033	44.6	26.6
1.576	58.6	19.3

Crystal structure
Lattice parameters (Å, degrees): 4.2747 7.0533 7.0533 119.91 90.00 90.00
Fractional coordinates of all 9 atoms:
Y: 0.0000 0.2069 0.7931
Y: 0.0000 0.7931 0.2069
Er: 0.0000 0.6209 0.6209
Al: 0.5000 0.2080 0.4482
Al: 0.5000 0.4482 0.2080
Al: 0.5000 0.9666 0.9666
Ag: 0.0000 0.2104 0.2104
Ge: 0.5000 0.5413 0.8720
Ge: 0.5000 0.8720 0.5413

---

The following is a computed X-ray diffraction stick pattern of Co15Sn. It was derived from a PBE-relaxed structure, using Cu Kα (weighted mean of Kα1 and Kα2).
No peak broadening, texture or thermal motion is included.

The 10 most intense peaks (2θ from 15° to 90°), low angle first:
d [Å]	Position (°2θ)	I_rel
2.283	39.5	11.9
2.061	43.9	73.1
2.019	44.9	100.0
2.016	45.0	17.4
1.962	46.3	34.9
1.779	51.3	43.7
1.741	52.6	35.7
1.714	53.4	21.1
1.245	76.5	24.4
1.222	78.2	12.1

Crystal structure
Lattice parameters (Å, degrees): 4.2758 33.2330 4.2746 90.00 109.13 90.00
Fractional coordinates of all 32 atoms:
Co: 0.0000 0.0184 0.2500
Co: 0.0000 0.0557 0.7500
Co: 0.0000 0.0929 0.2500
Co: 0.0000 0.1309 0.7500
Co: 0.0000 0.1676 0.2500
Co: 0.0000 0.2055 0.7500
Co: 0.0000 0.2422 0.2500
Co: 0.0000 0.7578 0.7500
Co: 0.0000 0.7945 0.2500
Co: 0.0000 0.8324 0.7500
Co: 0.0000 0.8691 0.2500
Co: 0.0000 0.9071 0.7500
Co: 0.0000 0.9443 0.2500
Co: 0.0000 0.9816 0.7500
Co: 0.5000 0.0185 0.7500
Co: 0.5000 0.0558 0.2500
Co: 0.5000 0.0932 0.7500
Co: 0.5000 0.1298 0.2500
Co: 0.5000 0.1678 0.7500
Co: 0.5000 0.2037 0.2500
Co: 0.5000 0.2422 0.7500
Co: 0.5000 0.2759 0.2500
Co: 0.5000 0.7241 0.7500
Co: 0.5000 0.7578 0.2500
Co: 0.5000 0.7963 0.7500
Co: 0.5000 0.8322 0.2500
Co: 0.5000 0.8702 0.7500
Co: 0.5000 0.9068 0.2500
Co: 0.5000 0.9442 0.7500
Co: 0.5000 0.9815 0.2500
Sn: 0.0000 0.2946 0.7500
Sn: 0.0000 0.7054 0.2500